[1]
This entry pairs a crystal structure of Tb3PrTm8 with its theoretical PXRD pattern. Radiation: Cu Kα (weighted mean of Kα1 and Kα2). Structure: the PBE geometry in Alexandria.
Neutral-atom scattering factors, no anomalous dispersion.

Most intense lines, 2θ = 10–90°, in order of falling intensity:
- 32.88°, d 2.724, I = 100
- 28.62°, d 3.119, I = 24
- 32.00°, d 2.797, I = 24
- 61.22°, d 1.514, I = 23
- 57.60°, d 1.600, I = 20
- 50.70°, d 1.801, I = 20
- 61.76°, d 1.502, I = 16
- 43.46°, d 2.082, I = 16
- 83.89°, d 1.153, I = 14
- 88.54°, d 1.104, I = 8

```
Tb3PrTm8
1.0
-5.399 5.594 3.120
5.399 -5.594 3.120
5.399 5.594 -3.120
Tb Pr Tm
3 1 8
Direct
0.000 0.000 0.000
0.086 0.335 0.751
0.584 0.335 0.249
0.500 0.000 0.500
0.002 0.333 0.332
0.002 0.670 0.668
0.081 0.000 0.416
0.081 0.665 0.081
0.502 0.336 0.834
0.502 0.668 0.166
0.584 0.000 0.919
0.584 0.665 0.584
```

---

[2]
This entry pairs a crystal structure of Rb2SnI2Br2 with its theoretical PXRD pattern. Radiation: Cu Kα (weighted mean of Kα1 and Kα2). Structure: the PBE geometry in Alexandria.
Neutral-atom scattering factors, no anomalous dispersion.

Most intense lines, 2θ = 10–90°, in order of falling intensity:
- 28.91°, d 3.088, I = 100
- 25.50°, d 3.493, I = 99
- 28.64°, d 3.117, I = 93
- 11.40°, d 7.759, I = 51
- 37.99°, d 2.369, I = 46
- 34.68°, d 2.586, I = 39
- 41.21°, d 2.191, I = 36
- 24.53°, d 3.629, I = 33
- 40.21°, d 2.243, I = 33
- 43.34°, d 2.088, I = 31

```
Rb2SnI2Br2
1.0
8.735 -2.369 0.000
8.735 2.369 0.000
-3.913 0.000 7.565
Rb Sn I Br
2 1 2 2
Direct
0.158 0.158 0.118
0.842 0.842 0.882
0.000 0.000 0.500
0.479 0.479 0.741
0.521 0.521 0.259
0.187 0.187 0.737
0.813 0.813 0.263
```

---

[3]
This entry pairs a crystal structure of CoNi3Te8 with its theoretical PXRD pattern. Radiation: Cu Kα (weighted mean of Kα1 and Kα2). Structure: the PBE geometry in Alexandria.
Neutral-atom scattering factors, no anomalous dispersion.

Most intense lines, 2θ = 10–90°, in order of falling intensity:
- 31.44°, d 2.845, I = 100
- 31.51°, d 2.839, I = 50
- 46.87°, d 1.938, I = 48
- 43.32°, d 2.089, I = 24
- 43.19°, d 2.095, I = 21
- 58.58°, d 1.576, I = 16
- 58.73°, d 1.572, I = 16
- 57.51°, d 1.603, I = 15
- 16.58°, d 5.347, I = 14
- 33.52°, d 2.673, I = 14

```
CoNi3Te8
1.0
6.592 0.000 0.000
-2.059 6.287 0.000
-2.274 -3.128 6.717
Co Ni Te
1 3 8
Direct
0.000 0.000 0.000
0.000 0.000 0.500
0.500 0.500 0.000
0.500 0.500 0.500
0.204 0.449 0.163
0.212 0.453 0.667
0.285 0.046 0.329
0.289 0.044 0.838
0.711 0.956 0.162
0.715 0.954 0.671
0.788 0.547 0.333
0.796 0.551 0.837
```

---

[4]
This entry pairs a crystal structure of MgSi2B12 with its theoretical PXRD pattern. Radiation: Cu Kα (weighted mean of Kα1 and Kα2). Structure: the PBE geometry in Alexandria.
Neutral-atom scattering factors, no anomalous dispersion.

Most intense lines, 2θ = 10–90°, in order of falling intensity:
- 33.47°, d 2.677, I = 100
- 30.28°, d 2.951, I = 96
- 43.22°, d 2.093, I = 87
- 29.17°, d 3.062, I = 64
- 26.99°, d 3.304, I = 62
- 52.88°, d 1.731, I = 41
- 32.44°, d 2.760, I = 39
- 46.49°, d 1.953, I = 38
- 58.56°, d 1.576, I = 37
- 63.00°, d 1.476, I = 32

```
MgSi2B12
1.0
11.032 0.000 0.000
0.000 6.124 0.000
0.000 0.000 8.397
Mg Si B
4 8 48
Direct
0.071 0.250 0.159
0.429 0.750 0.659
0.571 0.250 0.341
0.929 0.750 0.841
0.081 0.250 0.868
0.085 0.750 0.601
0.415 0.250 0.101
0.419 0.750 0.368
0.581 0.250 0.632
0.585 0.750 0.899
0.915 0.250 0.399
0.919 0.750 0.132
0.097 0.750 0.057
0.101 0.250 0.446
0.147 0.750 0.846
0.153 0.250 0.649
0.169 0.515 0.967
0.169 0.985 0.967
0.173 0.017 0.530
0.173 0.483 0.530
0.208 0.592 0.167
0.208 0.908 0.167
0.213 0.091 0.334
0.213 0.409 0.334
0.287 0.591 0.834
0.287 0.909 0.834
0.292 0.092 0.667
0.292 0.408 0.667
0.327 0.517 0.030
0.327 0.983 0.030
0.331 0.015 0.467
0.331 0.485 0.467
0.347 0.750 0.149
0.353 0.250 0.346
0.399 0.750 0.946
0.403 0.250 0.557
0.597 0.750 0.443
0.601 0.250 0.054
0.647 0.750 0.654
0.653 0.250 0.851
0.669 0.515 0.533
0.669 0.985 0.533
0.673 0.017 0.970
0.673 0.483 0.970
0.708 0.592 0.333
0.708 0.908 0.333
0.713 0.091 0.166
0.713 0.409 0.166
0.787 0.591 0.666
0.787 0.909 0.666
0.792 0.092 0.833
0.792 0.408 0.833
0.827 0.517 0.470
0.827 0.983 0.470
0.831 0.015 0.033
0.831 0.485 0.033
0.847 0.750 0.351
0.853 0.250 0.154
0.899 0.750 0.554
0.903 0.250 0.943
```